Record 1
Diffraction record for KFeN. The powder diffraction line list is simulated, not measured: it uses DFT lattice parameters and positions (PBE) and copper Kα.

Peak list (12 most intense, 10° ≤ 2θ ≤ 90°, most intense first)
- 30.33°, d = 2.947 Å, rel. 100.0
- 16.05°, d = 5.522 Å, rel. 88.3
- 18.00°, d = 4.928 Å, rel. 49.4
- 38.25°, d = 2.353 Å, rel. 43.5
- 30.05°, d = 2.973 Å, rel. 26.3
- 52.06°, d = 1.757 Å, rel. 25.2
- 31.17°, d = 2.869 Å, rel. 22.3
- 34.02°, d = 2.635 Å, rel. 22.2
- 61.23°, d = 1.514 Å, rel. 21.6
- 28.26°, d = 3.158 Å, rel. 17.0
- 51.82°, d = 1.764 Å, rel. 16.7
- 26.75°, d = 3.333 Å, rel. 14.7

Cell lengths 9.857, 3.528, 6.666 Å; angles 90.00, 90.00, 90.00 degrees
Positions (direct):
K  0.180  0.250  0.048
K  0.320  0.750  0.548
K  0.680  0.250  0.452
K  0.820  0.750  0.952
Fe  0.022  0.250  0.610
Fe  0.478  0.750  0.110
Fe  0.522  0.250  0.890
Fe  0.978  0.750  0.390
N  0.034  0.750  0.659
N  0.466  0.250  0.159
N  0.534  0.750  0.841
N  0.966  0.250  0.341

Record 2
Diffraction record for KMg3CuAs3O12. The powder diffraction line list is simulated, not measured: it uses DFT lattice parameters and positions (PBE) and copper Kα.

Peak list (12 most intense, 10° ≤ 2θ ≤ 90°, most intense first)
- 31.86°, d = 2.809 Å, rel. 100.0
- 26.99°, d = 3.303 Å, rel. 79.7
- 31.61°, d = 2.831 Å, rel. 51.8
- 53.68°, d = 1.707 Å, rel. 42.3
- 28.22°, d = 3.162 Å, rel. 42.0
- 33.06°, d = 2.710 Å, rel. 30.2
- 21.39°, d = 4.154 Å, rel. 29.8
- 19.82°, d = 4.479 Å, rel. 26.8
- 45.64°, d = 1.988 Å, rel. 24.2
- 24.45°, d = 3.640 Å, rel. 23.0
- 23.19°, d = 3.836 Å, rel. 22.7
- 24.57°, d = 3.623 Å, rel. 22.3

Cell lengths 8.938, 8.938, 6.889 Å; angles 105.88, 105.88, 92.75 degrees
Positions (direct):
K  0.015  0.985  0.750
K  0.985  0.015  0.250
Mg  0.062  0.378  0.634
Mg  0.258  0.742  0.250
Mg  0.378  0.062  0.134
Mg  0.622  0.938  0.866
Mg  0.742  0.258  0.750
Mg  0.938  0.622  0.366
Cu  0.498  0.502  0.750
Cu  0.502  0.498  0.250
As  0.122  0.352  0.129
As  0.285  0.715  0.750
As  0.352  0.122  0.629
As  0.648  0.878  0.371
As  0.715  0.285  0.250
As  0.878  0.648  0.871
O  0.009  0.671  0.118
O  0.029  0.407  0.321
O  0.173  0.749  0.523
O  0.176  0.186  0.626
O  0.186  0.176  0.126
O  0.251  0.827  0.977
O  0.276  0.500  0.186
O  0.276  0.517  0.739
O  0.329  0.991  0.382
O  0.407  0.029  0.821
O  0.483  0.724  0.761
O  0.500  0.276  0.686
O  0.500  0.724  0.314
O  0.517  0.276  0.239
O  0.593  0.971  0.179
O  0.671  0.009  0.618
O  0.724  0.483  0.261
O  0.724  0.500  0.814
O  0.749  0.173  0.023
O  0.814  0.824  0.874
O  0.824  0.814  0.374
O  0.827  0.251  0.477
O  0.971  0.593  0.679
O  0.991  0.329  0.882

Record 3
Diffraction record for Nb6Co16Si7. The powder diffraction line list is simulated, not measured: it uses DFT lattice parameters and positions (PBE) and copper Kα.

Peak list (12 most intense, 10° ≤ 2θ ≤ 90°, most intense first)
- 41.96°, d = 2.153 Å, rel. 100.0
- 45.88°, d = 1.978 Å, rel. 91.1
- 39.46°, d = 2.284 Å, rel. 24.8
- 27.62°, d = 3.230 Å, rel. 21.5
- 71.56°, d = 1.318 Å, rel. 20.0
- 86.57°, d = 1.124 Å, rel. 18.6
- 48.84°, d = 1.865 Å, rel. 17.5
- 48.12°, d = 1.891 Å, rel. 13.7
- 63.92°, d = 1.457 Å, rel. 13.6
- 73.28°, d = 1.292 Å, rel. 12.5
- 77.77°, d = 1.228 Å, rel. 9.5
- 84.93°, d = 1.142 Å, rel. 7.9

Cell lengths 7.911, 7.911, 7.911 Å; angles 60.00, 60.00, 60.00 degrees
Positions (direct):
Nb  0.203  0.203  0.797
Nb  0.203  0.797  0.203
Nb  0.203  0.797  0.797
Nb  0.797  0.203  0.203
Nb  0.797  0.203  0.797
Nb  0.797  0.797  0.203
Co  0.144  0.619  0.619
Co  0.167  0.167  0.167
Co  0.167  0.167  0.500
Co  0.167  0.500  0.167
Co  0.381  0.381  0.381
Co  0.381  0.381  0.856
Co  0.381  0.856  0.381
Co  0.500  0.167  0.167
Co  0.500  0.833  0.833
Co  0.619  0.144  0.619
Co  0.619  0.619  0.144
Co  0.619  0.619  0.619
Co  0.833  0.500  0.833
Co  0.833  0.833  0.500
Co  0.833  0.833  0.833
Co  0.856  0.381  0.381
Si  0.000  0.000  0.500
Si  0.000  0.500  0.000
Si  0.000  0.500  0.500
Si  0.500  0.000  0.000
Si  0.500  0.000  0.500
Si  0.500  0.500  0.000
Si  0.500  0.500  0.500

Record 4
Diffraction record for BaGe2B. The powder diffraction line list is simulated, not measured: it uses DFT lattice parameters and positions (PBE) and copper Kα.

Peak list (12 most intense, 10° ≤ 2θ ≤ 90°, most intense first)
- 35.59°, d = 2.523 Å, rel. 100.0
- 63.91°, d = 1.457 Å, rel. 35.2
- 24.96°, d = 3.568 Å, rel. 22.3
- 21.57°, d = 4.120 Å, rel. 21.2
- 51.21°, d = 1.784 Å, rel. 17.3
- 86.20°, d = 1.128 Å, rel. 15.7
- 41.99°, d = 2.151 Å, rel. 11.5
- 75.35°, d = 1.261 Å, rel. 10.9
- 57.78°, d = 1.596 Å, rel. 9.0
- 43.96°, d = 2.060 Å, rel. 6.7
- 56.19°, d = 1.637 Å, rel. 4.9
- 80.82°, d = 1.189 Å, rel. 4.4

Cell lengths 5.046, 5.046, 5.046 Å; angles 60.00, 60.00, 60.00 degrees
Positions (direct):
Ba  0.000  0.000  0.000
Ge  0.500  0.500  0.500
Ge  0.750  0.750  0.750
B  0.250  0.250  0.250

Record 5
Diffraction record for CsCeS2. The powder diffraction line list is simulated, not measured: it uses DFT lattice parameters and positions (PBE) and copper Kα.

Peak list (12 most intense, 10° ≤ 2θ ≤ 90°, most intense first)
- 28.24°, d = 3.160 Å, rel. 100.0
- 25.13°, d = 3.543 Å, rel. 51.0
- 38.41°, d = 2.343 Å, rel. 36.3
- 42.24°, d = 2.140 Å, rel. 34.4
- 22.04°, d = 4.033 Å, rel. 28.0
- 48.14°, d = 1.890 Å, rel. 22.8
- 51.59°, d = 1.772 Å, rel. 17.9
- 44.73°, d = 2.026 Å, rel. 17.2
- 68.80°, d = 1.365 Å, rel. 15.0
- 63.38°, d = 1.468 Å, rel. 13.1
- 58.41°, d = 1.580 Å, rel. 10.5
- 74.68°, d = 1.271 Å, rel. 10.2

Cell lengths 8.436, 8.436, 8.436 Å; angles 29.38, 29.38, 29.38 degrees
Positions (direct):
Cs  0.000  0.000  0.000
Ce  0.500  0.500  0.500
S  0.228  0.228  0.228
S  0.772  0.772  0.772

Record 6
Diffraction record for CeCu. The powder diffraction line list is simulated, not measured: it uses DFT lattice parameters and positions (PBE) and copper Kα.

Peak list (12 most intense, 10° ≤ 2θ ≤ 90°, most intense first)
- 33.20°, d = 2.699 Å, rel. 100.0
- 38.47°, d = 2.340 Å, rel. 97.6
- 31.76°, d = 2.818 Å, rel. 85.0
- 36.36°, d = 2.471 Å, rel. 57.8
- 43.08°, d = 2.100 Å, rel. 44.4
- 28.69°, d = 3.111 Å, rel. 43.7
- 25.69°, d = 3.468 Å, rel. 37.9
- 54.50°, d = 1.684 Å, rel. 36.4
- 41.15°, d = 2.194 Å, rel. 35.8
- 29.22°, d = 3.056 Å, rel. 32.7
- 51.27°, d = 1.782 Å, rel. 27.4
- 61.09°, d = 1.517 Å, rel. 21.6

Cell lengths 7.044, 4.200, 6.149 Å; angles 90.00, 90.00, 90.00 degrees
Positions (direct):
Ce  0.168  0.250  0.146
Ce  0.332  0.750  0.646
Ce  0.668  0.250  0.354
Ce  0.832  0.750  0.854
Cu  0.041  0.250  0.605
Cu  0.459  0.750  0.105
Cu  0.541  0.250  0.895
Cu  0.959  0.750  0.395

Record 7
Diffraction record for Er6Zn23Ge. The powder diffraction line list is simulated, not measured: it uses DFT lattice parameters and positions (PBE) and copper Kα.

Peak list (12 most intense, 10° ≤ 2θ ≤ 90°, most intense first)
- 39.97°, d = 2.255 Å, rel. 100.0
- 36.60°, d = 2.455 Å, rel. 50.6
- 72.60°, d = 1.302 Å, rel. 16.4
- 34.44°, d = 2.604 Å, rel. 15.1
- 31.36°, d = 2.853 Å, rel. 14.2
- 42.51°, d = 2.126 Å, rel. 13.9
- 27.97°, d = 3.190 Å, rel. 11.8
- 77.37°, d = 1.233 Å, rel. 11.3
- 61.69°, d = 1.504 Å, rel. 10.8
- 51.13°, d = 1.787 Å, rel. 9.9
- 73.91°, d = 1.282 Å, rel. 9.8
- 24.16°, d = 3.683 Å, rel. 9.6

Cell lengths 9.022, 9.022, 9.022 Å; angles 60.00, 60.00, 60.00 degrees
Positions (direct):
Er  0.215  0.215  0.785
Er  0.215  0.785  0.215
Er  0.215  0.785  0.785
Er  0.785  0.215  0.215
Er  0.785  0.215  0.785
Er  0.785  0.785  0.215
Zn  0.000  0.000  0.500
Zn  0.000  0.500  0.000
Zn  0.000  0.500  0.500
Zn  0.123  0.626  0.626
Zn  0.168  0.168  0.168
Zn  0.168  0.168  0.495
Zn  0.168  0.495  0.168
Zn  0.374  0.374  0.374
Zn  0.374  0.374  0.877
Zn  0.374  0.877  0.374
Zn  0.495  0.168  0.168
Zn  0.500  0.000  0.000
Zn  0.500  0.000  0.500
Zn  0.500  0.500  0.000
Zn  0.500  0.500  0.500
Zn  0.505  0.832  0.832
Zn  0.626  0.123  0.626
Zn  0.626  0.626  0.123
Zn  0.626  0.626  0.626
Zn  0.832  0.505  0.832
Zn  0.832  0.832  0.505
Zn  0.832  0.832  0.832
Zn  0.877  0.374  0.374
Ge  0.000  0.000  0.000